1.
Structure and computed X-ray diffraction stick pattern of Pm2MnGe3Rh4 (a cell relaxed with GGA-PBE; λ = 1.5418 Å (Cu Kα)).
Intensities are scaled so that the largest is 100.

Most intense lines, 15 to 90 degrees two-theta, low angle first:
2θ (°)	d [Å]	I_rel
30.28	2.951	16
33.48	2.677	63
34.90	2.571	100
43.36	2.087	59
46.38	1.958	15
48.66	1.871	31
55.86	1.646	29
62.99	1.476	19
67.20	1.393	23
74.08	1.280	22

Cell and atoms:
a b c (Å): 4.1738 4.1738 10.4663
angles (deg): 90.00 90.00 90.00
Fractional coordinates of all 10 atoms:
Pm  0.0000  0.5000  0.2493
Pm  0.5000  0.0000  0.7507
Mn  0.0000  0.0000  0.5000
Ge  0.0000  0.5000  0.8712
Ge  0.5000  0.0000  0.1288
Ge  0.5000  0.5000  0.5000
Rh  0.0000  0.0000  0.0000
Rh  0.0000  0.5000  0.6368
Rh  0.5000  0.0000  0.3632
Rh  0.5000  0.5000  0.0000

***

2.
Structure and computed X-ray diffraction stick pattern of PrMnGe2Pt5 (a cell relaxed with GGA-PBE; λ = 1.5418 Å (Cu Kα)).
Intensities are scaled so that the largest is 100.

Most intense lines, 15 to 90 degrees two-theta, low angle first:
2θ (°)	d [Å]	I_rel
24.88	3.578	71
31.78	2.816	100
35.00	2.564	31
39.86	2.261	25
43.88	2.063	62
45.94	1.975	84
51.09	1.788	51
63.80	1.459	21
69.57	1.351	32
82.13	1.174	31

Cell and atoms:
a b c (Å): 4.1265 4.1265 10.7349
angles (deg): 90.00 90.00 90.00
Fractional coordinates of all 9 atoms:
Pr  0.0000  0.0000  0.0000
Mn  0.0000  0.0000  0.5000
Ge  0.5000  0.5000  0.2259
Ge  0.5000  0.5000  0.7741
Pt  0.0000  0.5000  0.3509
Pt  0.0000  0.5000  0.6491
Pt  0.5000  0.0000  0.3509
Pt  0.5000  0.0000  0.6491
Pt  0.5000  0.5000  0.0000

***

3.
Structure and computed X-ray diffraction stick pattern of Pr6MnGe2S14 (a cell relaxed with GGA-PBE; λ = 1.5418 Å (Cu Kα)).
Intensities are scaled so that the largest is 100.

Most intense lines, 15 to 90 degrees two-theta, low angle first:
2θ (°)	d [Å]	I_rel
20.07	4.425	26
23.12	3.848	29
25.24	3.528	100
35.13	2.555	34
36.61	2.454	31
36.85	2.439	31
39.83	2.263	33
41.00	2.201	21
48.42	1.880	18
49.72	1.834	19

Cell and atoms:
a b c (Å): 10.2183 10.2183 5.8479
angles (deg): 90.00 90.00 120.00
Fractional coordinates of all 23 atoms:
Pr  0.0204  0.4613  0.0000
Pr  0.3113  0.2054  0.5061
Pr  0.4409  0.9796  0.0000
Pr  0.5387  0.5591  0.0000
Pr  0.7946  0.1060  0.5061
Pr  0.8940  0.6887  0.5061
Mn  0.6667  0.3333  0.7291
Ge  0.0000  0.0000  0.0822
Ge  0.3333  0.6667  0.5861
S  0.0000  0.0000  0.7064
S  0.0809  0.2300  0.2331
S  0.1490  0.9191  0.2331
S  0.1883  0.7513  0.7380
S  0.2487  0.4370  0.7380
S  0.3333  0.6667  0.2106
S  0.4329  0.2471  0.9587
S  0.5144  0.0977  0.5116
S  0.5630  0.8117  0.7380
S  0.5833  0.4856  0.5116
S  0.7529  0.1858  0.9587
S  0.7700  0.8510  0.2331
S  0.8142  0.5671  0.9587
S  0.9023  0.4167  0.5116

***

4.
Structure and computed X-ray diffraction stick pattern of PrTaMnGe2 (a cell relaxed with GGA-PBE; λ = 1.5418 Å (Cu Kα)).
Intensities are scaled so that the largest is 100.

Most intense lines, 15 to 90 degrees two-theta, low angle first:
2θ (°)	d [Å]	I_rel
23.18	3.837	26
31.62	2.830	51
34.76	2.581	100
43.94	2.060	18
44.26	2.046	30
44.70	2.027	43
55.78	1.648	21
56.58	1.627	14
64.72	1.440	19
75.93	1.253	21

Cell and atoms:
a b c (Å): 6.5833 6.5833 6.5833
angles (deg): 144.13 144.13 51.64
Fractional coordinates of all 5 atoms:
Pr  0.0000  0.0000  0.0000
Ta  0.2500  0.7500  0.5000
Mn  0.7500  0.2500  0.5000
Ge  0.3877  0.3877  0.0000
Ge  0.6123  0.6123  0.0000